For P2Pb3O8, the GGA-PBE geometry in the Materials Project gives the calculated powder diffraction line list in this record (a wavelength of 1.5418 Å).
Peak positions follow from Bragg's law for the DFT cell and can differ from measured ones.

Principal peaks in the range 10 to 80 degrees two-theta, sorted by position:
- hkl 0 2 0, 2θ 19.97, d = 4.447 Å, rel. 46.9
- hkl 2 0 -2, 2θ 21.58, d = 4.118 Å, rel. 66.9
- hkl 0 2 1, 2θ 22.69, d = 3.919 Å, rel. 21.7
- hkl 2 2 -1, 2θ 25.90, d = 3.440 Å, rel. 77.1
- hkl 3 1 0, 2θ 27.93, d = 3.194 Å, rel. 92.7
- hkl 1 1 2, 2θ 28.06, d = 3.180 Å, rel. 100.0
- hkl 2 2 -2, 2θ 29.56, d = 3.022 Å, rel. 60.5
- hkl 1 3 1, 2θ 34.40, d = 2.607 Å, rel. 22.1
- hkl 5 1 -2, 2θ 41.89, d = 2.156 Å, rel. 23.1
- hkl 1 1 -4, 2θ 42.13, d = 2.145 Å, rel. 48.3
- hkl 1 3 -3, 2θ 43.03, d = 2.102 Å, rel. 23.6
- hkl 4 0 -4, 2θ 43.99, d = 2.058 Å, rel. 30.1

Atomic structure:
a b c (Å): 11.179 8.894 9.026
angles (deg): 90.00 113.30 90.00
Space group C2/c (No. 15)
Unique sites:
P 0.212 0.203 0.199
Pb 0.000 0.087 0.750
Pb 0.150 0.454 0.440
O 0.136 0.300 0.738
O 0.155 0.361 0.143
O 0.158 0.083 0.061
O 0.172 0.157 0.341